Structure and calculated X-ray diffraction stick pattern of Ba2Nd2FeCo3O12 (a DFT-relaxed cell (PBE+U, the Materials Project); copper Kα).
Kinematic intensities with the Lorentz-polarization factor, no thermal factor.

Structure:
a = 3.9403 Å, b = 7.8923 Å, c = 15.6144 Å
α = 90.00°, β = 90.00°, γ = 90.00°
Space group Amm2 (No. 38)
One atom of each set of equivalent atoms:
Ba 0.0000 0.2467 0.0000 x4
Nd 0.0000 0.2488 0.2476 x4
Fe 0.5000 0.0000 0.3709 x2
Co 0.5000 0.0000 0.1252 x2
Co 0.5000 0.0000 0.6256 x2
Co 0.5000 0.0000 0.8714 x2
O 0.0000 0.0000 0.1384 x2
O 0.0000 0.0000 0.3652 x2
O 0.0000 0.0000 0.6389 x2
O 0.0000 0.0000 0.8609 x2
O 0.5000 0.0000 0.2474 x2
O 0.5000 0.0000 0.5065 x2
O 0.5000 0.0000 0.7445 x2
O 0.5000 0.0000 0.9990 x2
O 0.5000 0.2395 0.1351 x4
O 0.5000 0.2492 0.8611 x4

Most intense lines, 10 to 90 degrees two-theta, sorted by position:
- hkl 1 2 0, d 2.788, 2θ = 32.10°, rel. 51
- hkl 1 0 4, d 2.774, 2θ = 32.27°, rel. 100
- hkl 1 2 4, d 2.269, 2θ = 39.73°, rel. 26
- hkl 2 0 0, d 1.972, 2θ = 46.03°, rel. 33
- hkl 2 2 4, d 1.607, 2θ = 57.33°, rel. 39
- hkl 1 2 8, d 1.599, 2θ = 57.65°, rel. 20

***

Structure and calculated X-ray diffraction stick pattern of Sr10Mg5MoW4O30 (a DFT-relaxed cell (PBE+U, the Materials Project); copper Kα).
Kinematic intensities with the Lorentz-polarization factor, no thermal factor.

Structure:
a = 5.6608 Å, b = 5.6720 Å, c = 23.3579 Å
α = 89.77°, β = 83.13°, γ = 60.28°
Space group P-1 (No. 2)
One atom of each set of equivalent atoms:
Sr 0.0006 0.2495 0.2498 x2
Sr 0.1994 0.1505 0.9502 x2
Sr 0.2002 0.6499 0.4504 x2
Sr 0.3994 0.5505 0.1502 x2
Sr 0.4008 0.0494 0.6492 x2
Mg 0.0999 0.7000 0.6002 x2
Mg 0.3000 0.1000 0.7999 x2
Mg 0.5000 0.5000 0.0000 x1
Mo 0.5000 0.0000 0.5000 x1
W 0.1001 0.2000 0.1000 x2
W 0.3000 0.6000 0.2999 x2
O 0.0385 0.7594 0.2445 x2
O 0.0588 0.4910 0.3446 x2
O 0.0860 0.4515 0.8547 x2
O 0.1139 0.9486 0.3454 x2
O 0.1411 0.9090 0.8555 x2
O 0.1617 0.6405 0.9555 x2
O 0.2385 0.1592 0.4447 x2
O 0.2597 0.8910 0.5444 x2
O 0.2859 0.8517 0.0547 x2
O 0.3144 0.3475 0.5452 x2
O 0.3411 0.3090 0.0555 x2
O 0.3618 0.0404 0.1556 x2
O 0.4383 0.5595 0.6443 x2
O 0.4590 0.2911 0.7444 x2
O 0.4859 0.2518 0.2548 x2

Most intense lines, 10 to 90 degrees two-theta, sorted by position:
- hkl 1 0 -1, d 4.632, 2θ = 19.16°, rel. 62
- hkl 1 0 -6, d 2.844, 2θ = 31.46°, rel. 49
- hkl 2 1 1, d 2.832, 2θ = 31.59°, rel. 100
- hkl 2 1 -4, d 2.415, 2θ = 37.24°, rel. 22
- hkl 2 0 8, d 2.001, 2θ = 45.33°, rel. 33
- hkl 3 3 1, d 1.634, 2θ = 56.29°, rel. 25